# Rb2TbGeTe4
Computed powder diffraction line list, Cu Kα X-rays. Input: a GGA-PBE-relaxed structure.

Cell and atoms:
```
Rb2TbGeTe4
1.0
-4.5607 4.8846 6.6771
4.5607 -4.8846 6.6771
4.5607 4.8846 -6.6771
Rb Tb Ge Te
4 2 2 8
direct
0.0000 0.0000 0.0000
0.5000 0.0000 0.0000
0.5000 0.0000 0.5000
0.5000 0.5000 0.5000
0.0000 0.0000 0.5000
0.0000 0.5000 0.0000
0.0000 0.5000 0.5000
0.5000 0.5000 0.0000
0.1971 0.7303 0.4668
0.2313 0.2759 0.5446
0.2313 0.6867 0.9554
0.2365 0.2697 0.9668
0.7635 0.7303 0.0332
0.7687 0.3133 0.0446
0.7687 0.7241 0.4554
0.8029 0.2697 0.5332
```

Main lines, sorted by position (2θ = 10–80°):
2θ = 11.2°, I 15.3; 2θ = 26.7°, I 100.0; 2θ = 36.8°, I 13.5; 2θ = 38.2°, I 45.5; 2θ = 39.5°, I 10.7; 2θ = 46.0°, I 12.9; 2θ = 48.3°, I 10.6; 2θ = 55.1°, I 8.6; 2θ = 62.2°, I 7.3; 2θ = 62.3°, I 7.2

=====

# Th3TaSi2Rh9
Computed powder diffraction line list, Cu Kα X-rays. Input: a GGA-PBE-relaxed structure.

Cell and atoms:
```
Th3TaSi2Rh9
1.0
5.8677 0.0000 0.0000
-2.9339 5.0816 0.0000
0.0000 0.0000 9.8004
Th Ta Si Rh
3 1 2 9
direct
0.0000 0.0000 0.0000
0.3333 0.6667 0.6440
0.6667 0.3333 0.3560
0.0000 0.0000 0.5000
0.3333 0.6667 0.1563
0.6667 0.3333 0.8437
0.0000 0.5000 0.0000
0.1628 0.3256 0.3082
0.1628 0.8372 0.3082
0.3256 0.1628 0.6918
0.5000 0.0000 0.0000
0.5000 0.5000 0.0000
0.6744 0.8372 0.3082
0.8372 0.1628 0.6918
0.8372 0.6744 0.6918
```

Main lines, sorted by position (2θ = 10–80°):
2θ = 25.2°, I 32.6; 2θ = 27.3°, I 45.4; 2θ = 30.5°, I 21.5; 2θ = 36.5°, I 74.2; 2θ = 40.0°, I 100.0; 2θ = 40.9°, I 16.0; 2θ = 51.8°, I 39.6; 2θ = 63.4°, I 26.6; 2θ = 70.4°, I 18.4; 2θ = 77.6°, I 14.2

=====

# Th3Ge2Ru
Computed powder diffraction line list, Cu Kα X-rays. Input: a GGA-PBE-relaxed structure.

Cell and atoms:
```
Th3Ge2Ru
1.0
11.9577 0.0000 0.0000
0.0000 4.3079 0.0000
0.0000 0.0000 11.7140
Th Ge Ru
12 8 4
direct
0.0514 0.2500 0.1305
0.1225 0.7500 0.5571
0.2226 0.2500 0.8008
0.2774 0.7500 0.3008
0.3775 0.2500 0.0571
0.4486 0.7500 0.6305
0.5514 0.2500 0.3695
0.6225 0.7500 0.9429
0.7226 0.2500 0.6992
0.7774 0.7500 0.1992
0.8775 0.2500 0.4429
0.9486 0.7500 0.8695
0.0127 0.7500 0.3130
0.1870 0.7500 0.0042
0.3130 0.2500 0.5042
0.4873 0.2500 0.8130
0.5127 0.7500 0.1870
0.6870 0.7500 0.4958
0.8130 0.2500 0.9958
0.9873 0.2500 0.6870
0.1319 0.2500 0.3723
0.3681 0.7500 0.8723
0.6319 0.2500 0.1277
0.8681 0.7500 0.6277
```

Main lines, sorted by position (2θ = 10–80°):
2θ = 26.6°, I 48.5; 2θ = 27.1°, I 38.1; 2θ = 29.8°, I 45.6; 2θ = 30.9°, I 100.0; 2θ = 31.5°, I 54.7; 2θ = 33.7°, I 25.9; 2θ = 34.3°, I 70.8; 2θ = 37.4°, I 34.4; 2θ = 41.9°, I 47.4; 2θ = 49.4°, I 27.7

=====

# La4PmPt
Computed powder diffraction line list, Cu Kα X-rays. Input: a GGA-PBE-relaxed structure.

Cell and atoms:
```
La4PmPt
1.0
8.9077 -3.8488 0.0000
8.9077 3.8488 0.0000
-2.2597 0.0000 5.9339
La Pm Pt
8 2 2
direct
0.1280 0.6366 0.3797
0.2024 0.7976 0.0000
0.3262 0.3262 0.8250
0.3634 0.8720 0.6203
0.6366 0.1280 0.3797
0.6738 0.6738 0.1750
0.7976 0.2024 0.0000
0.8720 0.3634 0.6203
0.1965 0.1965 0.1947
0.8035 0.8035 0.8053
0.4977 0.4977 0.7184
0.5023 0.5023 0.2816
```

Main lines, sorted by position (2θ = 10–80°):
2θ = 10.6°, I 20.3; 2θ = 12.7°, I 28.2; 2θ = 28.1°, I 32.9; 2θ = 30.3°, I 47.9; 2θ = 31.6°, I 100.0; 2θ = 32.3°, I 12.4; 2θ = 38.3°, I 40.4; 2θ = 47.2°, I 14.5; 2θ = 51.1°, I 17.0; 2θ = 58.2°, I 36.2

=====

# PrMgZn2H8
Computed powder diffraction line list, Cu Kα X-rays. Input: a GGA-PBE-relaxed structure.

Cell and atoms:
```
PrMgZn2H8
1.0
4.5965 0.0000 0.0000
-2.2982 3.9807 0.0000
0.0000 0.0000 6.9752
Pr Mg Zn H
1 1 2 8
direct
0.0000 0.0000 0.0000
0.0000 0.0000 0.5000
0.3333 0.6667 0.7411
0.6667 0.3333 0.2589
0.0014 0.6962 0.3059
0.3038 0.3052 0.3059
0.3052 0.0014 0.6941
0.3333 0.6667 0.9842
0.6667 0.3333 0.0158
0.6948 0.9986 0.3059
0.6962 0.6948 0.6941
0.9986 0.3038 0.6941
```

Main lines, sorted by position (2θ = 10–80°):
2θ = 12.7°, I 33.0; 2θ = 22.3°, I 22.2; 2θ = 25.8°, I 100.0; 2θ = 34.2°, I 92.1; 2θ = 39.2°, I 53.8; 2θ = 45.2°, I 19.1; 2θ = 47.5°, I 19.1; 2θ = 53.0°, I 26.4; 2θ = 67.4°, I 20.5; 2θ = 67.8°, I 24.5

=====

# Cs2SnBi2Pb
Computed powder diffraction line list, Cu Kα X-rays. Input: a GGA-PBE-relaxed structure.

Cell and atoms:
```
Cs2SnBi2Pb
1.0
-4.0451 8.5751 3.9983
4.0451 -8.5751 3.9983
4.0451 8.5751 -3.9983
Cs Sn Bi Pb
4 2 4 2
direct
0.1663 0.2471 0.4134
0.3337 0.7471 0.0808
0.6663 0.2529 0.9192
0.8337 0.7529 0.5866
0.2500 0.2500 0.0000
0.7500 0.7500 0.0000
0.0909 0.7617 0.8526
0.4091 0.2617 0.6708
0.5909 0.7383 0.3292
0.9091 0.2383 0.1474
0.2500 0.7500 0.5000
0.7500 0.2500 0.5000
```

Main lines, sorted by position (2θ = 10–80°):
2θ = 10.3°, I 85.6; 2θ = 26.0°, I 93.7; 2θ = 30.4°, I 58.2; 2θ = 30.6°, I 57.8; 2θ = 31.5°, I 100.0; 2θ = 33.2°, I 23.8; 2θ = 41.1°, I 27.3; 2θ = 41.4°, I 27.5; 2θ = 45.2°, I 30.3; 2θ = 55.6°, I 23.5

=====

# Ac3IrPdPt
Computed powder diffraction line list, Cu Kα X-rays. Input: a GGA-PBE-relaxed structure.

Cell and atoms:
```
Ac3IrPdPt
1.0
8.5233 0.0000 0.0000
0.0000 4.3107 0.0000
-4.2327 0.0000 9.3812
Ac Ir Pd Pt
6 2 2 2
direct
0.1775 0.2500 0.1449
0.2870 0.7500 0.4957
0.2994 0.7500 0.8663
0.7006 0.2500 0.1337
0.7130 0.2500 0.5043
0.8225 0.7500 0.8551
0.0435 0.2500 0.8111
0.9565 0.7500 0.1889
0.4838 0.7500 0.2506
0.5162 0.2500 0.7494
0.0136 0.2500 0.4092
0.9864 0.7500 0.5908
```

Main lines, sorted by position (2θ = 10–80°):
2θ = 11.4°, I 48.8; 2θ = 28.3°, I 39.1; 2θ = 28.5°, I 54.7; 2θ = 29.5°, I 44.2; 2θ = 31.0°, I 100.0; 2θ = 33.3°, I 38.0; 2θ = 35.3°, I 59.5; 2θ = 35.5°, I 50.5; 2θ = 41.5°, I 35.7; 2θ = 41.9°, I 47.2